[1]
Diffraction record for K2VAgSe4. The X-ray diffraction stick pattern is calculated, not measured: it uses a DFT-relaxed cell (GGA-PBE, the Materials Project) and Cu Kα (weighted mean of Kα1 and Kα2).
Peak positions follow from Bragg's law for the DFT cell and can differ from measured ones.

The 10 most intense peaks (5 to 70 degrees two-theta), in order of falling intensity:
2θ = 15.02°, intensity 100.0
2θ = 27.06°, intensity 89.2
2θ = 37.62°, intensity 34.4
2θ = 31.10°, intensity 31.6
2θ = 40.68°, intensity 27.2
2θ = 24.85°, intensity 24.3
2θ = 40.46°, intensity 22.0
2θ = 50.26°, intensity 18.5
2θ = 26.18°, intensity 18.2
2θ = 49.07°, intensity 17.9

Structural model:
```
K2VAgSe4
1.0
6.028 0.000 0.000
3.014 6.822 0.000
3.014 0.000 11.783
K V Ag Se
4 2 2 8
Cartesian
0.000 0.000 0.000
4.422 3.404 9.091
2.996 0.026 3.228
7.461 3.370 5.887
2.955 0.022 7.441
7.529 3.401 1.616
4.441 3.452 1.602
5.967 0.049 7.471
4.713 5.433 6.064
2.723 1.979 0.192
4.177 1.416 6.082
7.273 5.440 8.881
6.242 4.763 0.203
6.200 2.000 3.000
7.715 1.359 8.852
8.775 4.788 2.949
```

---

[2]
Diffraction record for U3As2Se. The X-ray diffraction stick pattern is calculated, not measured: it uses a DFT-relaxed cell (GGA-PBE, the Materials Project) and Cu Kα (weighted mean of Kα1 and Kα2).
Peak positions follow from Bragg's law for the DFT cell and can differ from measured ones.

The 9 most intense peaks (5 to 70 degrees two-theta), in order of falling intensity:
2θ = 36.09°, intensity 100.0
2θ = 25.31°, intensity 28.6
2θ = 64.95°, intensity 28.0
2θ = 51.97°, intensity 17.9
2θ = 64.75°, intensity 9.4
2θ = 44.63°, intensity 6.8
2θ = 58.59°, intensity 6.3
2θ = 58.72°, intensity 6.3
2θ = 44.48°, intensity 2.3

Structural model:
```
U3As2Se
1.0
4.971 0.000 0.000
-2.486 4.305 0.000
0.000 0.000 6.110
U As Se
3 2 1
Cartesian
0.000 0.000 0.000
0.000 2.870 4.095
2.486 1.435 2.016
0.000 2.870 1.031
2.486 1.435 5.079
0.000 0.000 3.055
```

---

[3]
Diffraction record for Cs2GeP4O13. The X-ray diffraction stick pattern is calculated, not measured: it uses a DFT-relaxed cell (GGA-PBE, the Materials Project) and Cu Kα (weighted mean of Kα1 and Kα2).
Peak positions follow from Bragg's law for the DFT cell and can differ from measured ones.

The 10 most intense peaks (5 to 70 degrees two-theta), in order of falling intensity:
2θ = 25.41°, intensity 100.0
2θ = 25.94°, intensity 81.9
2θ = 27.54°, intensity 64.2
2θ = 27.29°, intensity 58.0
2θ = 22.09°, intensity 48.8
2θ = 23.71°, intensity 47.1
2θ = 22.53°, intensity 42.9
2θ = 31.50°, intensity 37.1
2θ = 36.17°, intensity 28.2
2θ = 41.19°, intensity 27.6

Structural model:
```
Cs2GeP4O13
1.0
5.056 0.000 0.000
1.276 7.918 0.000
1.610 1.306 16.097
Cs Ge P O
4 2 8 26
Cartesian
1.979 2.565 7.865
2.979 2.892 15.631
4.963 6.332 0.466
5.963 6.660 8.232
1.206 3.786 3.891
6.736 5.438 12.206
3.105 8.090 11.211
2.320 6.741 3.436
4.224 6.771 13.636
3.732 5.090 5.396
4.210 4.134 10.701
3.718 2.453 2.460
5.622 2.483 12.661
4.837 1.134 4.886
1.330 1.682 11.485
0.997 2.056 4.675
1.432 5.520 3.116
2.754 4.665 10.811
3.194 5.639 13.334
2.657 7.573 2.262
3.998 7.484 14.926
3.718 8.087 9.862
2.279 3.040 2.514
2.726 3.964 5.013
4.144 7.829 12.392
3.463 5.710 6.723
3.625 6.211 4.195
4.317 3.014 11.902
4.479 3.514 9.373
3.798 1.395 3.704
5.215 5.260 11.083
5.662 6.184 13.583
4.224 1.137 6.235
3.944 1.740 1.171
5.285 1.651 13.834
4.748 3.585 2.762
5.188 4.559 5.285
6.510 3.705 12.981
6.945 7.168 11.421
6.612 7.542 4.612
```

---

[4]
Diffraction record for DyZn12. The X-ray diffraction stick pattern is calculated, not measured: it uses a DFT-relaxed cell (GGA-PBE, the Materials Project) and Cu Kα (weighted mean of Kα1 and Kα2).
Peak positions follow from Bragg's law for the DFT cell and can differ from measured ones.

The 10 most intense peaks (5 to 70 degrees two-theta), in order of falling intensity:
2θ = 40.65°, intensity 100.0
2θ = 39.64°, intensity 77.0
2θ = 40.98°, intensity 56.2
2θ = 34.91°, intensity 50.0
2θ = 44.86°, intensity 37.6
2θ = 65.08°, intensity 23.7
2θ = 28.20°, intensity 22.0
2θ = 33.76°, intensity 19.1
2θ = 46.07°, intensity 16.0
2θ = 32.13°, intensity 10.5

Structural model:
```
DyZn12
1.0
-4.405 4.405 2.655
4.405 -4.405 2.655
4.405 4.405 -2.655
Dy Zn
1 12
Cartesian
0.000 0.000 0.000
2.203 2.203 -1.327
3.098 0.000 0.000
2.203 -2.203 1.327
5.712 0.000 0.000
4.405 2.494 0.000
0.000 3.098 0.000
-2.203 2.203 1.327
2.494 4.405 0.000
2.203 2.203 1.327
1.911 0.000 2.655
0.000 5.712 0.000
0.000 1.911 2.655
```

---

[5]
Diffraction record for CdH4NCl3. The X-ray diffraction stick pattern is calculated, not measured: it uses a DFT-relaxed cell (GGA-PBE, the Materials Project) and Cu Kα (weighted mean of Kα1 and Kα2).
Peak positions follow from Bragg's law for the DFT cell and can differ from measured ones.

The 10 most intense peaks (5 to 70 degrees two-theta), in order of falling intensity:
2θ = 11.19°, intensity 100.0
2θ = 31.48°, intensity 94.6
2θ = 11.86°, intensity 92.4
2θ = 15.21°, intensity 75.6
2θ = 29.05°, intensity 52.2
2θ = 24.52°, intensity 51.7
2θ = 29.68°, intensity 45.6
2θ = 43.91°, intensity 45.4
2θ = 49.19°, intensity 32.8
2θ = 38.33°, intensity 29.4

Structural model:
```
CdH4NCl3
1.0
9.324 0.000 0.000
0.000 4.087 0.000
0.000 0.000 14.921
Cd H N Cl
4 16 4 12
Cartesian
1.518 1.022 0.888
3.144 3.066 8.349
6.181 1.022 6.572
7.806 3.066 14.033
0.177 3.066 5.770
0.324 1.022 10.752
1.090 2.239 4.564
1.090 3.892 4.564
3.572 0.196 12.024
3.572 1.848 12.024
4.338 3.066 3.291
4.486 1.022 13.230
4.839 3.066 1.691
4.987 1.022 11.630
5.752 2.239 2.897
5.752 3.892 2.897
8.234 0.196 10.358
8.234 1.848 10.358
9.000 3.066 4.169
9.148 1.022 9.151
0.501 3.066 4.787
4.161 1.022 12.248
5.163 3.066 2.673
8.823 1.022 10.134
0.242 1.022 13.452
1.604 1.022 7.528
2.189 3.066 10.746
2.474 1.022 3.286
3.058 3.066 0.067
4.420 3.066 5.991
4.904 1.022 8.930
6.266 1.022 14.854
6.851 3.066 11.636
7.136 1.022 4.175
7.721 3.066 7.393
9.083 3.066 1.469
```

---

[6]
Diffraction record for LiRhF6. The X-ray diffraction stick pattern is calculated, not measured: it uses a DFT-relaxed cell (GGA-PBE, the Materials Project) and Cu Kα (weighted mean of Kα1 and Kα2).
Peak positions follow from Bragg's law for the DFT cell and can differ from measured ones.

The 10 most intense peaks (5 to 70 degrees two-theta), in order of falling intensity:
2θ = 23.74°, intensity 100.0
2θ = 20.88°, intensity 93.4
2θ = 40.09°, intensity 51.5
2θ = 19.39°, intensity 37.5
2θ = 53.50°, intensity 31.3
2θ = 32.89°, intensity 22.0
2θ = 48.58°, intensity 18.5
2θ = 38.47°, intensity 15.1
2θ = 56.01°, intensity 13.3
2θ = 62.26°, intensity 13.2

Structural model:
```
LiRhF6
1.0
2.583 1.491 4.577
-2.583 1.491 4.577
0.000 -2.982 4.577
Li Rh F
1 1 6
Cartesian
0.000 0.000 0.000
0.000 0.000 6.865
-1.546 0.172 5.765
-0.922 -1.253 7.965
0.624 -1.425 5.765
-0.624 1.425 7.965
0.922 1.253 5.765
1.546 -0.172 7.965
```

---

[7]
Diffraction record for Rb4GeP4S12. The X-ray diffraction stick pattern is calculated, not measured: it uses a DFT-relaxed cell (GGA-PBE, the Materials Project) and Cu Kα (weighted mean of Kα1 and Kα2).
Peak positions follow from Bragg's law for the DFT cell and can differ from measured ones.

The 10 most intense peaks (5 to 70 degrees two-theta), in order of falling intensity:
2θ = 27.78°, intensity 100.0
2θ = 24.00°, intensity 69.2
2θ = 35.14°, intensity 53.3
2θ = 18.77°, intensity 47.5
2θ = 27.24°, intensity 45.2
2θ = 26.60°, intensity 44.1
2θ = 31.72°, intensity 41.3
2θ = 30.54°, intensity 37.6
2θ = 29.95°, intensity 35.5
2θ = 14.85°, intensity 35.3

Structural model:
```
Rb4GeP4S12
1.0
6.308 -4.130 0.000
6.308 4.130 0.000
-4.504 0.000 23.618
Rb Ge P S
8 2 8 24
Cartesian
0.348 0.599 4.386
-1.904 -0.599 16.195
1.897 0.164 10.674
-0.355 -0.164 22.483
8.467 0.164 1.135
6.215 -0.164 12.944
10.016 0.599 7.423
7.764 -0.599 19.232
5.182 0.211 5.905
2.930 -0.211 17.714
4.586 1.652 3.031
1.696 0.524 14.555
5.778 1.652 8.778
3.948 -0.524 2.746
4.164 0.524 20.872
2.334 -1.652 14.840
6.416 -0.524 9.063
3.526 -1.652 20.587
-1.433 1.441 19.543
-0.080 0.538 13.677
5.200 2.337 1.291
1.384 1.071 16.668
3.130 1.609 13.724
2.172 -0.538 1.868
4.051 1.295 7.518
5.164 2.337 10.518
2.730 1.609 21.703
0.819 -1.441 7.734
6.314 1.295 4.291
3.636 -1.071 4.859
4.476 1.071 18.759
1.798 -1.295 19.327
7.293 1.441 15.884
5.382 -1.609 1.915
2.948 -2.337 13.100
4.061 -1.295 16.100
5.940 0.538 21.750
4.982 -1.609 9.894
6.728 -1.071 6.950
2.912 -2.337 22.327
8.192 -0.538 9.941
9.545 -1.441 4.075
```

---

Copy entry 3 word for word.
Diffraction record for Cs2GeP4O13. The X-ray diffraction stick pattern is calculated, not measured: it uses a DFT-relaxed cell (GGA-PBE, the Materials Project) and Cu Kα (weighted mean of Kα1 and Kα2).
Peak positions follow from Bragg's law for the DFT cell and can differ from measured ones.

The 10 most intense peaks (5 to 70 degrees two-theta), in order of falling intensity:
2θ = 25.41°, intensity 100.0
2θ = 25.94°, intensity 81.9
2θ = 27.54°, intensity 64.2
2θ = 27.29°, intensity 58.0
2θ = 22.09°, intensity 48.8
2θ = 23.71°, intensity 47.1
2θ = 22.53°, intensity 42.9
2θ = 31.50°, intensity 37.1
2θ = 36.17°, intensity 28.2
2θ = 41.19°, intensity 27.6

Structural model:
```
Cs2GeP4O13
1.0
5.056 0.000 0.000
1.276 7.918 0.000
1.610 1.306 16.097
Cs Ge P O
4 2 8 26
Cartesian
1.979 2.565 7.865
2.979 2.892 15.631
4.963 6.332 0.466
5.963 6.660 8.232
1.206 3.786 3.891
6.736 5.438 12.206
3.105 8.090 11.211
2.320 6.741 3.436
4.224 6.771 13.636
3.732 5.090 5.396
4.210 4.134 10.701
3.718 2.453 2.460
5.622 2.483 12.661
4.837 1.134 4.886
1.330 1.682 11.485
0.997 2.056 4.675
1.432 5.520 3.116
2.754 4.665 10.811
3.194 5.639 13.334
2.657 7.573 2.262
3.998 7.484 14.926
3.718 8.087 9.862
2.279 3.040 2.514
2.726 3.964 5.013
4.144 7.829 12.392
3.463 5.710 6.723
3.625 6.211 4.195
4.317 3.014 11.902
4.479 3.514 9.373
3.798 1.395 3.704
5.215 5.260 11.083
5.662 6.184 13.583
4.224 1.137 6.235
3.944 1.740 1.171
5.285 1.651 13.834
4.748 3.585 2.762
5.188 4.559 5.285
6.510 3.705 12.981
6.945 7.168 11.421
6.612 7.542 4.612
```